1.
For Ho2ThMoO8, a GGA+U-relaxed structure gives the theoretical powder diffraction line list in this record (a wavelength of 1.5418 Å).

Largest 6 diffraction maxima, low angle first, 15° ≤ 2θ ≤ 90°:
2θ/deg  I/Imax
24.83  562
25.07  531
31.45  1000
35.57  296
48.08  394
48.34  370

Structure:
Cell: 5.047 5.047 6.886 Å, 90.00 90.00 90.53°
Fractional coordinates of all 12 atoms:
Ho  0.000  0.000  0.244
Ho  0.000  0.000  0.756
Th  0.500  0.500  0.500
Mo  0.500  0.500  0.000
O  0.188  0.188  0.500
O  0.226  0.226  0.000
O  0.316  0.684  0.212
O  0.316  0.684  0.788
O  0.684  0.316  0.212
O  0.684  0.316  0.788
O  0.774  0.774  0.000
O  0.812  0.812  0.500

---

2.
For HoUMoO6, a GGA+U-relaxed structure gives the theoretical powder diffraction line list in this record (a wavelength of 1.5418 Å).

Largest 6 diffraction maxima, low angle first, 15° ≤ 2θ ≤ 90°:
2θ/deg  I/Imax
19.99  343
27.01  1000
31.42  754
37.52  448
41.90  309
52.23  536

Structure:
Cell: 5.695 5.695 8.885 Å, 90.00 90.00 120.00°
Fractional coordinates of all 18 atoms:
Ho  0.333  0.667  0.250
Ho  0.667  0.333  0.750
U  0.333  0.667  0.750
U  0.667  0.333  0.250
Mo  0.000  0.000  0.000
Mo  0.000  0.000  0.500
O  0.022  0.344  0.629
O  0.022  0.678  0.871
O  0.322  0.344  0.871
O  0.322  0.978  0.629
O  0.344  0.022  0.129
O  0.344  0.322  0.371
O  0.656  0.678  0.629
O  0.656  0.978  0.871
O  0.678  0.022  0.371
O  0.678  0.656  0.129
O  0.978  0.322  0.129
O  0.978  0.656  0.371